For Mn2SiPb, a structure optimized by DFT (PBE) gives the simulated powder diffractogram in this record (a wavelength of 1.5418 Å).

Crystal structure
Cell: 3.952 3.952 15.384 Å, 90.00 90.00 120.00°
Fractional coordinates of all 12 atoms:
Mn  0.000  0.000  0.000
Mn  0.000  0.000  0.238
Mn  0.333  0.667  0.667
Mn  0.333  0.667  0.904
Mn  0.667  0.333  0.333
Mn  0.667  0.333  0.571
Si  0.000  0.000  0.605
Si  0.333  0.667  0.272
Si  0.667  0.333  0.939
Pb  0.000  0.000  0.791
Pb  0.333  0.667  0.457
Pb  0.667  0.333  0.124

Most intense lines, 15 to 90 degrees two-theta, in order of falling intensity:
| 2θ/deg | Rel. int. |
| --- | --- |
| 26.68 | 100 |
| 39.38 | 99 |
| 35.10 | 98 |
| 28.54 | 84 |
| 45.92 | 83 |
| 59.04 | 50 |
| 17.29 | 29 |
| 73.21 | 29 |
| 62.06 | 26 |
| 80.55 | 25 |

For Rb2TlSe2, a structure optimized by DFT (PBE) gives the simulated powder diffractogram in this record (a wavelength of 1.5418 Å).

Crystal structure
Cell: 10.143 9.031 8.669 Å, 90.00 100.37 90.00°
Fractional coordinates of all 20 atoms:
Rb  0.075  0.226  0.025
Rb  0.075  0.274  0.525
Rb  0.318  0.648  0.937
Rb  0.318  0.852  0.437
Rb  0.682  0.148  0.563
Rb  0.682  0.352  0.063
Rb  0.925  0.726  0.475
Rb  0.925  0.774  0.975
Tl  0.381  0.081  0.850
Tl  0.381  0.419  0.350
Tl  0.619  0.581  0.650
Tl  0.619  0.919  0.150
Se  0.133  0.549  0.250
Se  0.133  0.951  0.750
Se  0.424  0.143  0.206
Se  0.424  0.357  0.706
Se  0.576  0.643  0.294
Se  0.576  0.857  0.794
Se  0.867  0.049  0.250
Se  0.867  0.451  0.750

Most intense lines, 15 to 90 degrees two-theta, in order of falling intensity:
| 2θ/deg | Rel. int. |
| --- | --- |
| 15.81 | 100 |
| 24.72 | 74 |
| 34.81 | 65 |
| 26.82 | 56 |
| 28.60 | 46 |
| 24.13 | 44 |
| 27.42 | 42 |
| 33.59 | 41 |
| 28.79 | 36 |
| 29.90 | 33 |

For SrCa5Mg, a structure optimized by DFT (PBE) gives the simulated powder diffractogram in this record (a wavelength of 1.5418 Å).

Crystal structure
Cell: 7.628 7.628 12.552 Å, 110.57 110.57 73.97°
Fractional coordinates of all 14 atoms:
Sr  0.063  0.937  0.750
Sr  0.937  0.063  0.250
Ca  0.151  0.405  0.748
Ca  0.258  0.509  0.505
Ca  0.350  0.650  0.250
Ca  0.405  0.151  0.248
Ca  0.491  0.742  0.995
Ca  0.509  0.258  0.005
Ca  0.595  0.849  0.752
Ca  0.650  0.350  0.750
Ca  0.742  0.491  0.495
Ca  0.849  0.595  0.252
Mg  0.000  0.500  0.000
Mg  0.500  0.000  0.500

Most intense lines, 15 to 90 degrees two-theta, in order of falling intensity:
| 2θ/deg | Rel. int. |
| --- | --- |
| 28.65 | 100 |
| 29.48 | 92 |
| 31.75 | 56 |
| 30.39 | 45 |
| 29.36 | 42 |
| 17.16 | 36 |
| 15.72 | 33 |
| 26.29 | 26 |
| 22.84 | 22 |
| 27.29 | 20 |

For HoTm3C8, a structure optimized by DFT (PBE) gives the simulated powder diffractogram in this record (a wavelength of 1.5418 Å).

Crystal structure
Cell: 6.273 6.273 5.994 Å, 114.94 114.94 101.06°
Fractional coordinates of all 12 atoms:
Ho  0.000  0.000  0.000
Tm  0.289  0.789  0.501
Tm  0.488  0.488  0.001
Tm  0.789  0.289  0.501
C  0.079  0.406  0.001
C  0.111  0.111  0.504
C  0.349  0.866  0.002
C  0.406  0.079  0.001
C  0.569  0.569  0.676
C  0.608  0.608  0.498
C  0.866  0.349  0.002
C  0.894  0.894  0.325

Most intense lines, 15 to 90 degrees two-theta, in order of falling intensity:
| 2θ/deg | Rel. int. |
| --- | --- |
| 27.10 | 100 |
| 29.99 | 91 |
| 29.01 | 88 |
| 48.44 | 52 |
| 50.34 | 43 |
| 37.13 | 32 |
| 53.76 | 28 |
| 40.21 | 25 |
| 55.88 | 18 |
| 86.85 | 13 |

For Sc3Mo5, a structure optimized by DFT (PBE) gives the simulated powder diffractogram in this record (a wavelength of 1.5418 Å).

Crystal structure
Cell: 6.584 9.045 4.735 Å, 90.00 90.00 90.00°
Fractional coordinates of all 16 atoms:
Sc  0.000  0.000  0.000
Sc  0.000  0.235  0.500
Sc  0.000  0.765  0.500
Sc  0.500  0.265  0.500
Sc  0.500  0.500  0.000
Sc  0.500  0.735  0.500
Mo  0.000  0.500  0.000
Mo  0.205  0.500  0.500
Mo  0.250  0.250  0.000
Mo  0.250  0.750  0.000
Mo  0.295  0.000  0.500
Mo  0.500  0.000  0.000
Mo  0.705  0.000  0.500
Mo  0.750  0.250  0.000
Mo  0.750  0.750  0.000
Mo  0.795  0.500  0.500

Most intense lines, 15 to 90 degrees two-theta, in order of falling intensity:
| 2θ/deg | Rel. int. |
| --- | --- |
| 38.81 | 100 |
| 38.01 | 30 |
| 39.87 | 25 |
| 56.26 | 18 |
| 69.20 | 17 |
| 71.69 | 15 |
| 16.65 | 12 |
| 27.27 | 10 |
| 83.30 | 7 |
| 46.71 | 7 |

For FeCuRh4, a structure optimized by DFT (PBE) gives the simulated powder diffractogram in this record (a wavelength of 1.5418 Å).

Crystal structure
Cell: 2.713 2.713 11.088 Å, 90.00 90.00 90.00°
Fractional coordinates of all 6 atoms:
Fe  0.000  0.000  0.000
Cu  0.500  0.500  0.500
Rh  0.000  0.000  0.335
Rh  0.000  0.000  0.665
Rh  0.500  0.500  0.162
Rh  0.500  0.500  0.838

Most intense lines, 15 to 90 degrees two-theta, in order of falling intensity:
| 2θ/deg | Rel. int. |
| --- | --- |
| 41.28 | 100 |
| 47.38 | 33 |
| 83.93 | 24 |
| 70.79 | 19 |
| 49.31 | 15 |
| 86.82 | 11 |
| 89.65 | 10 |
| 69.25 | 10 |
| 15.99 | 5 |
| 34.02 | 5 |

For Lu5Sb3, a structure optimized by DFT (PBE) gives the simulated powder diffractogram in this record (a wavelength of 1.5418 Å).

Crystal structure
Cell: 7.943 9.162 11.573 Å, 90.00 90.00 90.00°
Fractional coordinates of all 32 atoms:
Lu  0.026  0.250  0.010
Lu  0.145  0.750  0.285
Lu  0.186  0.250  0.281
Lu  0.194  0.062  0.560
Lu  0.194  0.438  0.560
Lu  0.306  0.562  0.060
Lu  0.306  0.938  0.060
Lu  0.314  0.750  0.781
Lu  0.355  0.250  0.785
Lu  0.474  0.750  0.510
Lu  0.526  0.250  0.490
Lu  0.645  0.750  0.215
Lu  0.686  0.250  0.219
Lu  0.694  0.062  0.940
Lu  0.694  0.438  0.940
Lu  0.806  0.562  0.440
Lu  0.806  0.938  0.440
Lu  0.814  0.750  0.719
Lu  0.855  0.250  0.715
Lu  0.974  0.750  0.990
Sb  0.066  0.003  0.826
Sb  0.066  0.497  0.826
Sb  0.091  0.750  0.541
Sb  0.409  0.250  0.041
Sb  0.434  0.503  0.326
Sb  0.434  0.997  0.326
Sb  0.566  0.003  0.674
Sb  0.566  0.497  0.674
Sb  0.591  0.750  0.959
Sb  0.909  0.250  0.459
Sb  0.934  0.503  0.174
Sb  0.934  0.997  0.174

Most intense lines, 15 to 90 degrees two-theta, in order of falling intensity:
| 2θ/deg | Rel. int. |
| --- | --- |
| 32.36 | 100 |
| 33.64 | 68 |
| 30.78 | 57 |
| 32.95 | 51 |
| 39.33 | 31 |
| 34.76 | 28 |
| 36.74 | 22 |
| 52.76 | 17 |
| 62.41 | 16 |
| 51.80 | 14 |

For Rb3TlPb4, a structure optimized by DFT (PBE) gives the simulated powder diffractogram in this record (a wavelength of 1.5418 Å).

Crystal structure
Cell: 7.194 13.942 7.270 Å, 90.00 90.00 90.00°
Fractional coordinates of all 16 atoms:
Rb  0.250  0.003  0.181
Rb  0.250  0.250  0.549
Rb  0.250  0.497  0.181
Rb  0.750  0.503  0.819
Rb  0.750  0.750  0.451
Rb  0.750  0.997  0.819
Tl  0.250  0.750  0.307
Tl  0.750  0.250  0.693
Pb  0.019  0.250  0.045
Pb  0.250  0.633  0.695
Pb  0.250  0.867  0.695
Pb  0.481  0.250  0.045
Pb  0.519  0.750  0.955
Pb  0.750  0.133  0.305
Pb  0.750  0.367  0.305
Pb  0.981  0.750  0.955

Most intense lines, 15 to 90 degrees two-theta, in order of falling intensity:
| 2θ/deg | Rel. int. |
| --- | --- |
| 31.05 | 100 |
| 30.55 | 81 |
| 27.67 | 64 |
| 28.24 | 62 |
| 35.10 | 51 |
| 33.84 | 50 |
| 52.54 | 44 |
| 42.88 | 35 |
| 38.06 | 31 |
| 22.72 | 30 |